The following is a computed powder X-ray diffraction pattern of Rb2YBr5. It was derived from the GGA-PBE geometry in Alexandria, using Cu Kα X-rays.
Lines closer than 0.1° are merged.

Principal peaks in the range 2θ from 5° to 70°, sorted by position:
(hkl)	2θ/deg	d_spacing	I_rel
4 0 1	27.6	3.235	65
1 2 2	28.7	3.113	100
3 2 1	29.1	3.073	72
0 3 1	30.6	2.917	21
2 2 2	30.8	2.902	24
4 2 0	32.2	2.783	20
2 1 3	34.5	2.597	22
0 4 0	38.8	2.319	47
5 2 1	39.1	2.303	24
4 0 3	40.2	2.244	20

Atomic structure:
```
Rb2YBr5
1.0
13.9138 0.0000 0.0000
0.0000 9.2748 0.0000
0.0000 0.0000 8.8090
Rb Y Br
8 4 20
Cartesian
2.3577 0.0808 0.6873
2.3577 4.5566 0.6873
4.5992 4.7182 5.0918
4.5992 9.1941 5.0918
9.3146 0.0808 3.7172
9.3146 4.5566 3.7172
11.5561 4.7182 8.1217
11.5561 9.1941 8.1217
0.0746 2.3187 5.0342
6.8823 6.9561 0.6296
7.0315 2.3187 8.1794
13.8392 6.9561 3.7749
0.2028 2.3187 7.9332
0.8458 5.0710 5.8667
0.8458 8.8412 5.8667
2.5191 2.3187 3.5851
2.6966 6.9561 3.1752
4.2603 2.3187 7.5797
4.4378 6.9561 7.9897
6.1111 0.4336 1.4622
6.1111 4.2038 1.4622
6.7540 6.9561 3.5287
7.1597 2.3187 5.2803
7.8027 5.0710 7.3468
7.8027 8.8412 7.3468
9.4760 2.3187 0.8194
9.6535 6.9561 1.2293
11.2172 2.3187 5.6338
11.3946 6.9561 5.2239
13.0680 0.4336 2.9423
13.0680 4.2038 2.9423
13.7109 6.9561 0.8758
```